Starting from a structure optimized by DFT (PBE+U), the powder diffractogram of Na8CoO6 was simulated for copper Kα.

Top 12 peaks for 15° ≤ 2θ ≤ 90°, sorted by position:
2θ 16.11, d 5.503, rel. 55.0, hkl 1 0 0
2θ 21.33, d 4.165, rel. 100.0, hkl 1 0 2
2θ 28.05, d 3.181, rel. 53.3, hkl 0 0 4
2θ 28.97, d 3.083, rel. 91.1, hkl 1 1 1
2θ 31.46, d 2.843, rel. 44.1, hkl 1 1 2
2θ 32.47, d 2.757, rel. 53.4, hkl 1 0 4
2θ 35.27, d 2.544, rel. 38.0, hkl 1 1 3
2θ 35.54, d 2.526, rel. 65.1, hkl 2 0 2
2θ 45.62, d 1.988, rel. 43.3, hkl 1 1 5
2θ 45.78, d 1.982, rel. 31.3, hkl 1 0 6
2θ 49.71, d 1.834, rel. 98.1, hkl 3 0 0
2θ 62.48, d 1.487, rel. 32.0, hkl 2 1 6

Structure:
```
30
Lattice="6.3538 0.0000 0.0000 -3.1769 5.5025 0.0000 0.0000 0.0000 12.7484" Properties=species:S:1:pos:R:3 pbc="T T T"
Na -0.9384 1.6253 0.0000
Na -1.2367 2.1420 4.5003
Na -1.9402 3.3605 10.8745
Na -2.2385 3.8772 6.3742
Na 1.8767 0.0000 0.0000
Na 0.9384 1.6253 6.3742
Na 0.0000 3.6684 1.8112
Na 0.0000 3.6684 8.1854
Na 2.4734 0.0000 4.5003
Na 1.2367 2.1420 10.8745
Na 3.8804 0.0000 10.8745
Na 1.9402 3.3605 4.5003
Na 3.1769 1.8342 1.8112
Na 3.1769 1.8342 8.1854
Na 4.4770 0.0000 6.3742
Na 2.2385 3.8772 0.0000
Co 0.0000 0.0000 2.8902
Co 0.0000 0.0000 9.2644
O 0.0000 0.0000 4.7535
O 0.0000 0.0000 11.1277
O -0.8632 1.4951 2.3204
O -2.3137 4.0075 8.6946
O 1.7264 0.0000 2.3204
O 0.8632 1.4951 8.6946
O 0.0000 3.6684 5.7547
O 0.0000 3.6684 12.1289
O 3.1769 1.8342 5.7547
O 3.1769 1.8342 12.1289
O 4.6274 0.0000 8.6946
O 2.3137 4.0075 2.3204
```